Theoretical powder diffraction line list
Compound: KHfMg14O15
Radiation: CuKα
Structure: a DFT-relaxed cell (PBE, the Materials Project)
Kinematic intensities with the Lorentz-polarization factor, no thermal factor.

Crystal structure
abc: 4.414 8.850 8.652
angles: 90.00 90.00 90.00
Space group Pmm2 (No. 25)
One atom of each set of equivalent atoms:
K1 0.000 0.000 0.000 x1
Hf1 0.000 0.500 0.030 x1
Mg1 0.000 0.000 0.533 x1
Mg2 0.000 0.238 0.284 x2
Mg3 0.000 0.256 0.763 x2
Mg4 0.000 0.500 0.522 x1
Mg5 0.500 0.000 0.279 x1
Mg6 0.500 0.000 0.765 x1
Mg7 0.500 0.236 0.029 x2
Mg8 0.500 0.249 0.525 x2
Mg9 0.500 0.500 0.285 x1
Mg10 0.500 0.500 0.769 x1
O1 0.000 0.000 0.300 x1
O2 0.000 0.260 0.524 x2
O3 0.000 0.271 0.031 x2
O4 0.000 0.500 0.280 x1
O5 0.000 0.500 0.772 x1
O6 0.500 0.000 0.039 x1
O7 0.500 0.000 0.524 x1
O8 0.500 0.251 0.277 x2
O9 0.500 0.255 0.779 x2
O10 0.500 0.500 0.030 x1
O11 0.500 0.500 0.526 x1

Top 12 peaks for 10° ≤ 2θ ≤ 80°, sorted by position:
hkl 0 0 1, 10.2 deg, d = 8.652 Å, rel. 85; hkl 0 1 1, 14.3 deg, d = 6.187 Å, rel. 66; hkl 0 2 1, 22.5 deg, d = 3.945 Å, rel. 70; hkl 1 1 1, 24.8 deg, d = 3.593 Å, rel. 43; hkl 0 2 2, 28.9 deg, d = 3.091 Å, rel. 47; hkl 1 2 2, 35.4 deg, d = 2.533 Å, rel. 88; hkl 0 4 0, 40.8 deg, d = 2.212 Å, rel. 91; hkl 2 0 0, 40.9 deg, d = 2.207 Å, rel. 93; hkl 0 0 4, 41.8 deg, d = 2.163 Å, rel. 83; hkl 2 4 0, 59.1 deg, d = 1.563 Å, rel. 54; hkl 2 0 4, 59.8 deg, d = 1.546 Å, rel. 100; hkl 2 4 4, 75.0 deg, d = 1.267 Å, rel. 46